No. 1
Starting from the GGA-PBE geometry in Alexandria, the XRD peak list of Ac2PrGa4 was simulated for Cu Ka.

Main lines, by angle (15° ≤ 2θ ≤ 90°):
24.7°, intensity 23; 27.1°, intensity 12; 29.9°, intensity 100; 33.9°, intensity 16; 38.1°, intensity 12; 39.6°, intensity 18; 39.7°, intensity 12; 41.9°, intensity 15; 52.3°, intensity 17; 55.0°, intensity 11

Structural model:
abc: 10.3626 10.3626 10.3626
angles: 155.97 154.61 35.24
Fractional coordinates of all 7 atoms:
Ac 0.1829 0.1829 0.0000
Ac 0.8171 0.8171 0.0000
Pr 0.0000 0.5000 0.5000
Ga 0.3673 0.3673 0.0000
Ga 0.4379 0.9379 0.5000
Ga 0.5621 0.0621 0.5000
Ga 0.6327 0.6327 0.0000

***

No. 2
Starting from the GGA-PBE geometry in Alexandria, the XRD peak list of K2Be was simulated for Cu Ka.

Main lines, by angle (15° ≤ 2θ ≤ 90°):
19.3°, intensity 20; 21.1°, intensity 29; 25.6°, intensity 100; 26.0°, intensity 61; 26.8°, intensity 35; 27.3°, intensity 59; 30.1°, intensity 26; 31.1°, intensity 30; 33.7°, intensity 33; 48.7°, intensity 26

Structural model:
abc: 8.9610 5.3218 10.7408
angles: 90.00 90.00 90.00
Fractional coordinates of all 12 atoms:
K 0.0262 0.2500 0.1708
K 0.1497 0.2500 0.5677
K 0.3503 0.7500 0.0677
K 0.4738 0.7500 0.6708
K 0.5262 0.2500 0.3292
K 0.6497 0.2500 0.9323
K 0.8503 0.7500 0.4323
K 0.9738 0.7500 0.8292
Be 0.2412 0.7500 0.3749
Be 0.2588 0.2500 0.8749
Be 0.7412 0.7500 0.1251
Be 0.7588 0.2500 0.6251

***

No. 3
Starting from the GGA-PBE geometry in Alexandria, the XRD peak list of TbSi2Sn2Au7 was simulated for Cu Ka.

Main lines, by angle (15° ≤ 2θ ≤ 90°):
23.5°, intensity 30; 29.5°, intensity 29; 30.4°, intensity 52; 32.2°, intensity 48; 34.7°, intensity 34; 34.9°, intensity 100; 38.4°, intensity 20; 41.8°, intensity 26; 42.5°, intensity 41; 42.7°, intensity 87

Structural model:
abc: 4.2377 4.2377 15.4150
angles: 97.73 97.73 89.88
Fractional coordinates of all 12 atoms:
Tb 0.0000 0.0000 0.0000
Si 0.3858 0.3858 0.7640
Si 0.6142 0.6142 0.2360
Sn 0.2079 0.2079 0.4187
Sn 0.7921 0.7921 0.5813
Au 0.0711 0.5712 0.1474
Au 0.3031 0.3031 0.6038
Au 0.4288 0.9289 0.8526
Au 0.5000 0.5000 0.0000
Au 0.5712 0.0711 0.1474
Au 0.6969 0.6969 0.3962
Au 0.9289 0.4288 0.8526

***

No. 4
Starting from the GGA-PBE geometry in Alexandria, the XRD peak list of Ag2MoCl7 was simulated for Cu Ka.

Main lines, by angle (15° ≤ 2θ ≤ 90°):
17.0°, intensity 100; 24.4°, intensity 42; 25.1°, intensity 19; 28.3°, intensity 17; 31.5°, intensity 13; 32.0°, intensity 15; 34.5°, intensity 14; 34.9°, intensity 18; 40.8°, intensity 19; 46.0°, intensity 15

Structural model:
abc: 7.8810 7.8810 11.4827
angles: 110.47 110.47 83.12
Fractional coordinates of all 20 atoms:
Ag 0.0908 0.7734 0.8867
Ag 0.2266 0.9092 0.6133
Ag 0.7734 0.0908 0.3867
Ag 0.9092 0.2266 0.1133
Mo 0.2505 0.7495 0.2500
Mo 0.7495 0.2505 0.7500
Cl 0.0098 0.1608 0.9206
Cl 0.0282 0.5890 0.2574
Cl 0.1608 0.0098 0.4206
Cl 0.2781 0.7219 0.7500
Cl 0.3246 0.5234 0.0879
Cl 0.4110 0.9718 0.2426
Cl 0.4766 0.6754 0.4121
Cl 0.5234 0.3246 0.5879
Cl 0.5890 0.0282 0.7574
Cl 0.6754 0.4766 0.9121
Cl 0.7219 0.2781 0.2500
Cl 0.8392 0.9902 0.5794
Cl 0.9718 0.4110 0.7426
Cl 0.9902 0.8392 0.0794

***

No. 5
Starting from the GGA-PBE geometry in Alexandria, the XRD peak list of CuAsI4 was simulated for Cu Ka.

Main lines, by angle (15° ≤ 2θ ≤ 90°):
24.6°, intensity 25; 26.6°, intensity 54; 27.6°, intensity 37; 28.3°, intensity 100; 33.7°, intensity 28; 36.0°, intensity 52; 43.3°, intensity 44; 44.6°, intensity 56; 46.4°, intensity 21; 66.3°, intensity 18

Structural model:
abc: 7.2664 4.0634 7.3291
angles: 90.00 93.73 90.00
Fractional coordinates of all 6 atoms:
Cu 0.0000 0.0000 0.0000
As 0.0000 0.5000 0.5000
I 0.2075 0.5000 0.1757
I 0.2432 0.0000 0.6643
I 0.7568 0.0000 0.3357
I 0.7925 0.5000 0.8243

***

No. 6
Starting from the GGA-PBE geometry in Alexandria, the XRD peak list of PrSm4Ho4 was simulated for Cu Ka.

Main lines, by angle (15° ≤ 2θ ≤ 90°):
30.5°, intensity 100; 35.3°, intensity 51; 50.8°, intensity 36; 60.4°, intensity 11; 60.5°, intensity 32; 63.4°, intensity 12; 82.8°, intensity 4; 82.9°, intensity 10; 85.4°, intensity 6; 85.5°, intensity 11

Structural model:
abc: 6.2159 9.5084 10.7683
angles: 100.86 106.73 96.23
Fractional coordinates of all 18 atoms:
Pr 0.2497 0.0842 0.3040
Pr 0.7503 0.9158 0.6960
Sm 0.2488 0.7478 0.0823
Sm 0.2502 0.7490 0.7510
Sm 0.2510 0.0844 0.6406
Sm 0.2518 0.4176 0.5287
Sm 0.7482 0.5824 0.4713
Sm 0.7490 0.9156 0.3594
Sm 0.7498 0.2510 0.2490
Sm 0.7512 0.2522 0.9177
Ho 0.2462 0.7476 0.4147
Ho 0.2497 0.4186 0.1926
Ho 0.2506 0.4168 0.8626
Ho 0.2519 0.0845 0.9725
Ho 0.7481 0.9155 0.0275
Ho 0.7494 0.5832 0.1374
Ho 0.7503 0.5814 0.8074
Ho 0.7538 0.2524 0.5853

***

No. 7
Starting from the GGA-PBE geometry in Alexandria, the XRD peak list of Ac3Nb2N5O2 was simulated for Cu Ka.

Main lines, by angle (15° ≤ 2θ ≤ 90°):
21.9°, intensity 18; 24.7°, intensity 11; 29.9°, intensity 100; 30.6°, intensity 63; 39.8°, intensity 20; 43.8°, intensity 30; 52.7°, intensity 13; 54.0°, intensity 40; 72.4°, intensity 11; 88.3°, intensity 11

Structural model:
abc: 11.1808 11.1808 11.1808
angles: 158.72 158.72 30.28
Fractional coordinates of all 12 atoms:
Ac 0.0000 0.0000 0.0000
Ac 0.1819 0.1819 0.0000
Ac 0.8181 0.8181 0.0000
Nb 0.4066 0.4066 0.0000
Nb 0.5934 0.5934 0.0000
N 0.1023 0.6023 0.5000
N 0.3977 0.8977 0.5000
N 0.5000 0.5000 0.0000
N 0.6023 0.1023 0.5000
N 0.8977 0.3977 0.5000
O 0.2968 0.2968 0.0000
O 0.7032 0.7032 0.0000

***

No. 8
Starting from the GGA-PBE geometry in Alexandria, the XRD peak list of Cs2HgPb3Br8 was simulated for Cu Ka.

Main lines, by angle (15° ≤ 2θ ≤ 90°):
17.2°, intensity 39; 19.8°, intensity 27; 21.8°, intensity 100; 22.7°, intensity 44; 26.0°, intensity 86; 32.3°, intensity 86; 34.8°, intensity 71; 35.4°, intensity 33; 39.4°, intensity 82; 47.8°, intensity 28

Structural model:
abc: 10.4833 10.4833 10.4833
angles: 51.76 51.76 51.76
Fractional coordinates of all 14 atoms:
Cs 0.0000 0.0000 0.0000
Cs 0.3649 0.3649 0.3649
Hg 0.7213 0.7213 0.7213
Pb 0.3653 0.3653 0.8571
Pb 0.3653 0.8571 0.3653
Pb 0.8571 0.3653 0.3653
Br 0.1104 0.1104 0.5637
Br 0.1104 0.5637 0.1104
Br 0.1336 0.1336 0.1336
Br 0.1613 0.6215 0.6215
Br 0.5637 0.1104 0.1104
Br 0.5902 0.5902 0.5902
Br 0.6215 0.1613 0.6215
Br 0.6215 0.6215 0.1613

***

No. 9
Starting from the GGA-PBE geometry in Alexandria, the XRD peak list of Y4ThZn was simulated for Cu Ka.

Main lines, by angle (15° ≤ 2θ ≤ 90°):
28.0°, intensity 25; 31.7°, intensity 100; 32.6°, intensity 11; 35.4°, intensity 44; 41.4°, intensity 10; 48.9°, intensity 14; 50.9°, intensity 15; 53.9°, intensity 14; 59.7°, intensity 11; 61.2°, intensity 30

Structural model:
abc: 3.5899 3.5899 13.7353
angles: 90.00 90.00 90.00
Fractional coordinates of all 6 atoms:
Y 0.0000 0.0000 0.1271
Y 0.0000 0.0000 0.8729
Y 0.5000 0.5000 0.3225
Y 0.5000 0.5000 0.6775
Th 0.0000 0.0000 0.5000
Zn 0.5000 0.5000 0.0000

***

No. 10
Starting from the GGA-PBE geometry in Alexandria, the XRD peak list of BeCr2Sb was simulated for Cu Ka.

Main lines, by angle (15° ≤ 2θ ≤ 90°):
15.7°, intensity 27; 29.1°, intensity 39; 31.8°, intensity 17; 33.2°, intensity 40; 41.6°, intensity 61; 43.6°, intensity 100; 53.3°, intensity 15; 60.3°, intensity 19; 77.4°, intensity 34; 81.5°, intensity 13

Structural model:
abc: 3.0682 3.0682 5.6343
angles: 90.00 90.00 90.00
Fractional coordinates of all 4 atoms:
Be 0.0000 0.0000 0.0000
Cr 0.0000 0.0000 0.4117
Cr 0.5000 0.5000 0.1778
Sb 0.5000 0.5000 0.6983

***

No. 11
Starting from the GGA-PBE geometry in Alexandria, the XRD peak list of ScTi3In was simulated for Cu Ka.

Main lines, by angle (15° ≤ 2θ ≤ 90°):
26.6°, intensity 73; 32.8°, intensity 100; 38.0°, intensity 99; 47.0°, intensity 30; 54.9°, intensity 63; 62.0°, intensity 13; 65.4°, intensity 36; 68.7°, intensity 20; 75.1°, intensity 15; 81.3°, intensity 9

Structural model:
abc: 4.7315 4.7315 4.7315
angles: 90.00 90.00 90.00
Fractional coordinates of all 5 atoms:
Sc 0.0000 0.0000 0.0000
Ti 0.0000 0.0000 0.5000
Ti 0.0000 0.5000 0.0000
Ti 0.5000 0.0000 0.0000
In 0.5000 0.5000 0.5000

***

No. 12
Starting from the GGA-PBE geometry in Alexandria, the XRD peak list of LaMg9Sc2 was simulated for Cu Ka.

Main lines, by angle (15° ≤ 2θ ≤ 90°):
17.5°, intensity 21; 18.3°, intensity 25; 23.1°, intensity 18; 27.6°, intensity 40; 30.0°, intensity 64; 34.9°, intensity 30; 35.4°, intensity 100; 37.1°, intensity 16; 53.3°, intensity 16; 56.8°, intensity 21

Structural model:
abc: 10.2757 10.2757 10.2757
angles: 33.70 33.70 33.70
Fractional coordinates of all 12 atoms:
La 0.0000 0.0000 0.0000
Mg 0.0805 0.5901 0.5901
Mg 0.3341 0.3341 0.3341
Mg 0.4099 0.4099 0.9195
Mg 0.4099 0.9195 0.4099
Mg 0.5000 0.5000 0.5000
Mg 0.5901 0.0805 0.5901
Mg 0.5901 0.5901 0.0805
Mg 0.6659 0.6659 0.6659
Mg 0.9195 0.4099 0.4099
Sc 0.1472 0.1472 0.1472
Sc 0.8528 0.8528 0.8528

***

No. 13
Starting from the GGA-PBE geometry in Alexandria, the XRD peak list of PmPr6Ho4 was simulated for Cu Ka.

Main lines, by angle (15° ≤ 2θ ≤ 90°):
27.7°, intensity 19; 29.5°, intensity 28; 31.0°, intensity 83; 32.1°, intensity 100; 35.0°, intensity 35; 45.2°, intensity 20; 50.1°, intensity 14; 53.8°, intensity 14; 56.5°, intensity 15; 61.3°, intensity 31

Structural model:
abc: 11.1566 11.1566 3.6015
angles: 90.00 90.00 120.00
Fractional coordinates of all 11 atoms:
Pm 0.0000 0.0000 0.0000
Pr 0.0523 0.5262 0.0000
Pr 0.3648 0.1824 0.5000
Pr 0.4738 0.5262 0.0000
Pr 0.4738 0.9477 0.0000
Pr 0.8176 0.1824 0.5000
Pr 0.8176 0.6352 0.5000
Ho 0.1599 0.3198 0.5000
Ho 0.1599 0.8401 0.5000
Ho 0.6667 0.3333 0.0000
Ho 0.6802 0.8401 0.5000

***

No. 14
Starting from the GGA-PBE geometry in Alexandria, the XRD peak list of LiYTcGe2 was simulated for Cu Ka.

Main lines, by angle (15° ≤ 2θ ≤ 90°):
23.4°, intensity 55; 31.3°, intensity 25; 32.9°, intensity 100; 35.4°, intensity 87; 44.8°, intensity 60; 45.7°, intensity 25; 46.8°, intensity 50; 56.7°, intensity 41; 66.8°, intensity 34; 76.5°, intensity 20

Structural model:
abc: 6.2239 6.2239 6.2239
angles: 142.10 142.10 54.67
Fractional coordinates of all 5 atoms:
Li 0.0000 0.0000 0.0000
Y 0.7500 0.2500 0.5000
Tc 0.5000 0.5000 0.0000
Ge 0.1327 0.6327 0.5000
Ge 0.3673 0.8673 0.5000